# 1
The following is a simulated powder diffraction line list of K2HgAsBr6. It was derived from a cell relaxed with PBE, using λ = 1.5418 Å (Cu Kα).
Lines closer than 0.1° are merged.

Structural model:
```
data_K2HgAsBr6
_symmetry_space_group_name_H-M 'F m -3 m'
_symmetry_Int_Tables_number 225
_symmetry_space_group_name_Hall '-F 4 2 3'
_cell_length_a 11.200
_cell_length_b 11.200
_cell_length_c 11.200
_cell_angle_alpha 90.00
_cell_angle_beta 90.00
_cell_angle_gamma 90.00
loop_
_atom_site_label
_atom_site_type_symbol
_atom_site_fract_x
_atom_site_fract_y
_atom_site_fract_z
K1 K 0.250 0.250 0.250
Hg1 Hg 0.000 0.000 0.000
As1 As 0.000 0.000 0.500
Br1 Br 0.000 0.000 0.261
```

Main lines, low angle first (2θ = 5–70°):
2θ (°), I/Imax
15.8, 97
22.5, 26
26.4, 16
27.6, 24
32.0, 100
35.9, 52
45.8, 71
48.8, 28
57.0, 24
69.2, 16



# 2
The following is a simulated powder diffraction line list of Hg3AsBrO4. It was derived from a cell relaxed with PBE, using λ = 1.5418 Å (Cu Kα).
Lines closer than 0.1° are merged.

Structural model:
```
data_Hg3AsBrO4
_symmetry_space_group_name_H-M 'P 21 3'
_symmetry_Int_Tables_number 198
_symmetry_space_group_name_Hall 'P 2ac 2ab 3'
_cell_length_a 8.701
_cell_length_b 8.701
_cell_length_c 8.701
_cell_angle_alpha 90.00
_cell_angle_beta 90.00
_cell_angle_gamma 90.00
loop_
_atom_site_label
_atom_site_type_symbol
_atom_site_fract_x
_atom_site_fract_y
_atom_site_fract_z
Hg1 Hg 0.053 0.394 0.358
As1 As 0.017 0.517 0.983
Br1 Br 0.236 0.764 0.264
O1 O 0.102 0.896 0.624
O2 O 0.130 0.630 0.870
```

Main lines, low angle first (2θ = 5–70°):
2θ (°), I/Imax
17.7, 51
22.9, 47
25.1, 54
30.8, 60
32.5, 45
34.2, 100
38.7, 28
42.9, 33
44.2, 27
47.9, 41